Computed X-ray diffraction stick pattern of CaCrN2 for a wavelength of 1.5418 Å, from DFT lattice parameters and positions (GGA-PBE).

Structure:
Unit cell a=3.6928 b=3.6928 c=7.3501 alpha=90.00 beta=90.00 gamma=90.00
Space group P4/nmm (No. 129, origin choice 2)
Unique sites:
Ca 0.2500 0.2500 0.1593 [2 per cell]
Cr 0.2500 0.2500 0.5929 [2 per cell]
N 0.2500 0.2500 0.8349 [2 per cell]
N 0.2500 0.7500 0.5000 [2 per cell]

Main lines, low angle first (10 to 80 degrees two-theta):
h k l, 2theta, d/Å, Rel. int.
0 0 1, 12.0, 7.350, 27.4
1 1 0, 34.4, 2.608, 100.0
0 0 3, 36.7, 2.450, 6.9
1 0 3, 44.4, 2.042, 10.0
2 0 0, 49.4, 1.846, 22.7
2 1 2, 61.6, 1.506, 18.3
1 1 4, 61.7, 1.503, 9.9
2 2 0, 72.4, 1.306, 6.0

Computed X-ray diffraction stick pattern of Ca2TiAlSi2O9F for a wavelength of 1.5418 Å, from DFT lattice parameters and positions (GGA-PBE).

Structure:
Unit cell a=5.4251 b=5.4700 c=7.1489 alpha=104.89 beta=104.39 gamma=105.62
Space group P1 (No. 1)
Unique sites:
Ca 0.0000 0.0000 0.0000 [1 per cell]
Ca 0.3423 0.6786 0.5113 [1 per cell]
Ti 0.6774 0.3319 0.2338 [1 per cell]
Al 0.6723 0.3374 0.7598 [1 per cell]
Si 0.3497 0.6487 0.0003 [1 per cell]
Si 0.9913 0.0293 0.5125 [1 per cell]
O 0.0409 0.5800 0.8459 [1 per cell]
O 0.3013 0.0979 0.6636 [1 per cell]
O 0.3592 0.4484 0.1409 [1 per cell]
O 0.4243 0.9586 0.1633 [1 per cell]
O 0.5616 0.6426 0.8703 [1 per cell]
O 0.7408 0.2675 0.0021 [1 per cell]
O 0.7777 0.0354 0.6402 [1 per cell]
O 0.9150 0.7179 0.3543 [1 per cell]
O 0.9851 0.2312 0.3742 [1 per cell]
F 0.6013 0.4109 0.5173 [1 per cell]

Main lines, low angle first (10 to 80 degrees two-theta):
h k l, 2theta, d/Å, Rel. int.
0 1 -2, 27.1, 3.287, 68.3
1 0 -2, 27.3, 3.270, 69.3
1 1 0, 29.9, 2.991, 100.0
1 -2 0, 34.4, 2.608, 67.6
2 -1 0, 34.5, 2.597, 67.7
2 -1 1, 39.6, 2.278, 33.1
1 1 -4, 51.6, 1.770, 25.6
2 0 2, 53.9, 1.700, 24.6

Computed X-ray diffraction stick pattern of Rh2C3N6 for a wavelength of 1.5418 Å, from DFT lattice parameters and positions (GGA-PBE).

Structure:
Unit cell a=16.4402 b=3.1832 c=5.1500 alpha=90.00 beta=100.38 gamma=90.00
Space group C2/m (No. 12)
Unique sites:
Rh 0.1689 0.0000 0.3460 [4 per cell]
C 0.0000 0.0000 0.5000 [2 per cell]
C 0.1744 0.5000 0.8464 [4 per cell]
N 0.0484 0.0000 0.3437 [4 per cell]
N 0.1597 0.5000 0.0682 [4 per cell]
N 0.1978 0.5000 0.6249 [4 per cell]

Main lines, low angle first (10 to 80 degrees two-theta):
h k l, 2theta, d/Å, Rel. int.
2 0 0, 10.9, 8.086, 100.0
0 0 1, 17.5, 5.066, 37.2
2 0 -1, 18.9, 4.690, 58.4
6 0 0, 33.2, 2.696, 39.9
1 1 1, 34.2, 2.618, 64.2
5 1 -1, 41.5, 2.176, 19.2
1 1 -2, 45.3, 2.002, 22.0
7 1 1, 54.8, 1.676, 15.5

Computed X-ray diffraction stick pattern of Ba3Cl2O2 for a wavelength of 1.5418 Å, from DFT lattice parameters and positions (GGA-PBE).

Structure:
Unit cell a=13.2099 b=6.4275 c=10.7278 alpha=90.00 beta=90.00 gamma=90.00
Space group Pnma (No. 62)
Unique sites:
Ba 0.0463 0.2500 0.2128 [4 per cell]
Ba 0.0674 0.2500 0.5757 [4 per cell]
Ba 0.2171 0.7500 0.3838 [4 per cell]
Cl 0.0352 0.2500 0.8958 [4 per cell]
Cl 0.2023 0.7500 0.6838 [4 per cell]
O 0.0821 0.0022 0.3842 [8 per cell]

Main lines, low angle first (10 to 80 degrees two-theta):
h k l, 2theta, d/Å, Rel. int.
1 0 1, 10.6, 8.328, 62.2
1 1 2, 22.6, 3.932, 45.3
3 1 1, 25.9, 3.442, 48.6
0 2 0, 27.8, 3.214, 68.9
0 1 3, 28.6, 3.125, 100.0
4 1 0, 30.4, 2.937, 97.5
3 2 2, 38.5, 2.337, 37.8
4 2 3, 46.9, 1.936, 43.4

Computed X-ray diffraction stick pattern of NbBiO3 for a wavelength of 1.5418 Å, from DFT lattice parameters and positions (GGA-PBE).

Structure:
Unit cell a=4.1097 b=4.1097 c=4.1097 alpha=90.00 beta=90.00 gamma=90.00
Space group Pm-3m (No. 221)
Unique sites:
Nb 0.0000 0.0000 0.0000 [1 per cell]
Bi 0.5000 0.5000 0.5000 [1 per cell]
O 0.0000 0.0000 0.5000 [3 per cell]

Main lines, low angle first (10 to 80 degrees two-theta):
h k l, 2theta, d/Å, Rel. int.
1 0 0, 21.6, 4.110, 11.4
1 1 0, 30.8, 2.906, 100.0
1 1 1, 37.9, 2.373, 12.2
2 0 0, 44.1, 2.055, 28.2
2 1 0, 49.6, 1.838, 6.6
2 1 1, 54.7, 1.678, 41.1
2 2 0, 64.1, 1.453, 17.8
3 1 0, 72.8, 1.300, 18.1

Computed X-ray diffraction stick pattern of Hg3Pd for a wavelength of 1.5418 Å, from DFT lattice parameters and positions (GGA-PBE).

Structure:
Unit cell a=5.9406 b=5.9406 c=5.4881 alpha=90.00 beta=90.00 gamma=120.00
Space group P6_3/mmc (No. 194)
Unique sites:
Hg 0.1686 0.3373 0.2500 [6 per cell]
Pd 0.3333 0.6667 0.7500 [2 per cell]

Main lines, low angle first (10 to 80 degrees two-theta):
h k l, 2theta, d/Å, Rel. int.
0 0 2, 32.6, 2.744, 35.0
2 0 0, 34.9, 2.572, 22.0
2 0 1, 38.7, 2.329, 100.0
2 0 2, 48.5, 1.877, 17.5
2 0 3, 62.3, 1.491, 25.1
2 2 0, 62.5, 1.485, 16.5
2 2 2, 72.3, 1.306, 21.6
4 0 1, 76.0, 1.252, 14.3

Computed X-ray diffraction stick pattern of BaTeF6 for a wavelength of 1.5418 Å, from DFT lattice parameters and positions (GGA-PBE).

Structure:
Unit cell a=15.3704 b=15.4822 c=9.2383 alpha=90.00 beta=90.00 gamma=90.00
Space group Fdd2 (No. 43)
Unique sites:
Ba 0.0758 0.3850 0.0000 [16 per cell]
Te 0.1053 0.3577 0.4380 [16 per cell]
F 0.0046 0.3428 0.2966 [16 per cell]
F 0.0208 0.1088 0.2531 [16 per cell]
F 0.0829 0.0519 0.5450 [16 per cell]
F 0.0836 0.2366 0.5083 [16 per cell]
F 0.0899 0.0432 0.0347 [16 per cell]
F 0.1114 0.2023 0.0480 [16 per cell]

Main lines, low angle first (10 to 80 degrees two-theta):
h k l, 2theta, d/Å, Rel. int.
3 1 1, 20.6, 4.312, 29.7
0 4 0, 23.0, 3.871, 45.9
4 0 0, 23.1, 3.843, 23.7
2 2 2, 25.3, 3.525, 100.0
4 2 0, 25.9, 3.442, 27.5
6 0 2, 40.3, 2.240, 30.0
2 6 2, 41.8, 2.162, 46.7
0 8 0, 46.9, 1.938, 19.9

Repeat the first record exactly.
Computed X-ray diffraction stick pattern of CaCrN2 for a wavelength of 1.5418 Å, from DFT lattice parameters and positions (GGA-PBE).

Structure:
Unit cell a=3.6928 b=3.6928 c=7.3501 alpha=90.00 beta=90.00 gamma=90.00
Space group P4/nmm (No. 129, origin choice 2)
Unique sites:
Ca 0.2500 0.2500 0.1593 [2 per cell]
Cr 0.2500 0.2500 0.5929 [2 per cell]
N 0.2500 0.2500 0.8349 [2 per cell]
N 0.2500 0.7500 0.5000 [2 per cell]

Main lines, low angle first (10 to 80 degrees two-theta):
h k l, 2theta, d/Å, Rel. int.
0 0 1, 12.0, 7.350, 27.4
1 1 0, 34.4, 2.608, 100.0
0 0 3, 36.7, 2.450, 6.9
1 0 3, 44.4, 2.042, 10.0
2 0 0, 49.4, 1.846, 22.7
2 1 2, 61.6, 1.506, 18.3
1 1 4, 61.7, 1.503, 9.9
2 2 0, 72.4, 1.306, 6.0